1.
# Dy5Tl2Pb2
Calculated X-ray diffraction stick pattern, Cu Ka. Input: a crystal structure in Alexandria, relaxed with PBE.
No peak broadening, texture or thermal motion is included.

Most intense lines, 2θ = 15–90°, in order of rising 2θ:
h k l	two_theta	intensity
2 2 1	26.8	35
3 1 2	29.8	100
0 2 2	30.9	55
4 2 0	31.4	42
4 0 2	31.6	39
5 1 1	32.3	30
4 2 1	33.3	82
1 3 1	35.0	62
1 1 3	35.3	59
5 3 1	45.1	28
5 1 3	45.4	36
7 3 3	63.4	40

Cell and atoms:
a = 15.8140 Å, b = 8.2336 Å, c = 8.1306 Å
α = 90.00°, β = 90.00°, γ = 90.00°
Space group Cmce (No. 64)
Asymmetric unit:
Dy 0.0000 0.0000 0.0000
Dy 0.1373 0.1734 0.3295
Tl 0.0000 0.1303 0.6305
Pb 0.2082 0.0000 0.0000

2.
# Tl3Cu2Br4Cl2
Calculated X-ray diffraction stick pattern, Cu Ka. Input: a crystal structure in Alexandria, relaxed with PBE.
No peak broadening, texture or thermal motion is included.

Most intense lines, 2θ = 15–90°, in order of rising 2θ:
h k l	two_theta	intensity
1 0 1	18.1	27
1 0 5	24.4	100
1 1 0	25.3	28
1 1 6	32.4	82
0 0 10	33.5	22
2 0 0	36.0	64
1 0 11	41.3	19
2 1 5	44.0	44
2 0 10	50.0	28
2 2 0	51.9	22
1 1 16	61.3	17
3 1 6	62.5	25

Cell and atoms:
a = 4.9846 Å, b = 4.9846 Å, c = 26.7780 Å
α = 90.00°, β = 90.00°, γ = 90.00°
Space group I4/mmm (No. 139)
Asymmetric unit:
Tl 0.0000 0.0000 0.0000
Tl 0.0000 0.0000 0.1844
Cu 0.0000 0.0000 0.3907
Br 0.0000 0.5000 0.0879
Cl 0.0000 0.0000 0.3017

3.
# PmMg2VN4
Calculated X-ray diffraction stick pattern, Cu Ka. Input: a crystal structure in Alexandria, relaxed with PBE.
No peak broadening, texture or thermal motion is included.

Most intense lines, 2θ = 15–90°, in order of rising 2θ:
h k l	two_theta	intensity
1 0 1	20.9	39
0 1 1	22.4	72
2 0 0	25.3	39
2 1 0	29.5	61
0 0 2	33.5	60
2 1 1	34.0	100
0 2 1	34.5	56
2 2 1	43.3	28
2 1 2	45.3	30
2 3 0	53.0	35
2 1 3	60.3	28
2 3 2	64.2	29

Cell and atoms:
a = 7.0370 Å, b = 5.9491 Å, c = 5.3446 Å
α = 90.00°, β = 90.00°, γ = 90.00°
Space group Pmn2_1 (No. 31)
Asymmetric unit:
Pm 0.0000 0.1473 0.0000
Mg 0.2461 0.3387 0.5140
V 0.0000 0.8101 0.5226
N 0.0000 0.1208 0.4648
N 0.0000 0.7814 0.8600
N 0.2134 0.6730 0.4038

4.
# LiNd6Cd2
Calculated X-ray diffraction stick pattern, Cu Ka. Input: a crystal structure in Alexandria, relaxed with PBE.
No peak broadening, texture or thermal motion is included.

Most intense lines, 2θ = 15–90°, in order of rising 2θ:
h k l	two_theta	intensity
0 2 2	27.3	98
1 2 1	28.6	100
2 1 -1	29.0	66
2 1 -2	29.5	45
1 0 2	30.3	42
1 3 -1	31.1	80
1 3 0	31.7	62
2 1 0	32.0	56
1 2 -3	32.9	33
2 1 -3	33.3	46
1 4 -1	39.9	36
4 0 -4	57.8	35

Cell and atoms:
a = 6.5465 Å, b = 9.6582 Å, c = 9.9154 Å
α = 90.00°, β = 116.72°, γ = 90.00°
Space group P2_1/c (No. 14)
Asymmetric unit:
Li 0.0000 0.0000 0.0000
Nd 0.0813 0.1620 0.4743
Nd 0.3481 0.6998 0.4390
Nd 0.4185 0.0376 0.2944
Cd 0.1526 0.0945 0.7950

5.
# Np2MnVN5
Calculated X-ray diffraction stick pattern, Cu Ka. Input: a crystal structure in Alexandria, relaxed with PBE.
No peak broadening, texture or thermal motion is included.

Most intense lines, 2θ = 15–90°, in order of rising 2θ:
h k l	two_theta	intensity
0 2 1	16.7	27
0 0 2	18.5	40
0 4 0	28.0	44
1 1 0	28.4	45
0 2 3	31.3	100
0 4 2	33.8	41
1 1 2	34.1	51
1 3 0	34.8	54
1 1 3	40.2	75
1 5 0	45.2	27
1 5 3	54.0	25
1 3 5	60.2	28

Cell and atoms:
a = 3.2442 Å, b = 12.7326 Å, c = 9.5855 Å
α = 90.00°, β = 90.00°, γ = 90.00°
Space group Cmc2_1 (No. 36)
Asymmetric unit:
Np 0.0000 0.1125 0.0000
Np 0.0000 0.1440 0.6255
Mn 0.0000 0.2096 0.3366
V 0.0000 0.4524 0.7841
N 0.0000 0.0567 0.3811
N 0.0000 0.2849 0.9751
N 0.0000 0.3119 0.7001
N 0.0000 0.3703 0.3231
N 0.0000 0.4966 0.1027

6.
# La3Nd2Mg3
Calculated X-ray diffraction stick pattern, Cu Ka. Input: a crystal structure in Alexandria, relaxed with PBE.
No peak broadening, texture or thermal motion is included.

Most intense lines, 2θ = 15–90°, in order of rising 2θ:
h k l	two_theta	intensity
0 1 3	19.4	10
1 0 1	23.0	18
0 1 5	24.8	26
0 0 8	30.9	23
0 2 0	31.5	27
1 1 4	31.7	100
1 0 9	41.9	10
0 2 8	44.7	17
1 1 12	55.4	13
1 3 4	56.2	19
2 2 0	57.0	10
2 2 8	66.2	11

Cell and atoms:
a = 3.9273 Å, b = 5.6852 Å, c = 23.1823 Å
α = 90.00°, β = 90.00°, γ = 90.00°
Space group Immm (No. 71)
Asymmetric unit:
La 0.0000 0.0000 0.0000
La 0.0000 0.5000 0.1234
Nd 0.0000 0.0000 0.2355
Mg 0.0000 0.0000 0.5000
Mg 0.0000 0.5000 0.3811

7.
# BaNdNb4O12
Calculated X-ray diffraction stick pattern, Cu Ka. Input: a crystal structure in Alexandria, relaxed with PBE.
No peak broadening, texture or thermal motion is included.

Most intense lines, 2θ = 15–90°, in order of rising 2θ:
h k l	two_theta	intensity
1 1 1	19.1	50
0 2 0	22.1	12
2 2 0	31.5	100
1 3 1	37.0	19
3 1 1	37.1	9
0 4 0	45.0	25
4 0 0	45.2	12
3 1 3	49.4	12
2 2 4	56.0	27
4 2 2	56.1	14
0 4 4	65.6	14
4 0 4	65.7	7

Cell and atoms:
a = 8.0291 Å, b = 8.0614 Å, c = 8.0454 Å
α = 90.00°, β = 90.00°, γ = 90.00°
Space group Cmmm (No. 65)
Asymmetric unit:
Ba 0.0000 0.0000 0.0000
Nd 0.0000 0.5000 0.5000
Nb 0.2500 0.2500 0.2520
O 0.0000 0.2372 0.2596
O 0.2244 0.5000 0.2638
O 0.2500 0.2500 0.0000
O 0.2500 0.2500 0.5000

8.
# PmNdAl2Si
Calculated X-ray diffraction stick pattern, Cu Ka. Input: a crystal structure in Alexandria, relaxed with PBE.
No peak broadening, texture or thermal motion is included.

Most intense lines, 2θ = 15–90°, in order of rising 2θ:
h k l	two_theta	intensity
0 1 1	21.1	27
1 0 1	21.5	30
0 0 4	28.8	22
0 1 3	29.4	26
1 0 3	29.7	17
1 1 2	32.0	100
0 2 0	40.4	16
2 0 0	41.2	15
1 0 5	41.9	15
1 1 6	53.1	15
1 3 2	68.2	13
1 1 10	84.0	11

Cell and atoms:
a = 4.3816 Å, b = 4.4696 Å, c = 12.3987 Å
α = 90.00°, β = 90.00°, γ = 90.00°
Space group Imm2 (No. 44)
Asymmetric unit:
Pm 0.0000 0.0000 0.0000
Nd 0.0000 0.5000 0.2412
Al 0.0000 0.0000 0.4882
Al 0.0000 0.5000 0.8450
Si 0.0000 0.5000 0.6485

9.
# LiTb4Cu3
Calculated X-ray diffraction stick pattern, Cu Ka. Input: a crystal structure in Alexandria, relaxed with PBE.
No peak broadening, texture or thermal motion is included.

Most intense lines, 2θ = 15–90°, in order of rising 2θ:
h k l	two_theta	intensity
1 0 4	25.3	31
1 1 0	36.0	100
0 2 4	44.5	9
1 1 9	49.7	3
2 0 8	51.9	17
2 1 4	58.6	12
3 0 0	64.8	34
0 1 17	68.8	2
2 2 0	76.4	10
3 0 12	82.0	3
1 3 4	82.1	3
3 1 8	87.5	14

Cell and atoms:
a = 4.9824 Å, b = 4.9824 Å, c = 24.4453 Å
α = 90.00°, β = 90.00°, γ = 120.00°
Space group R-3m (No. 166, hexagonal axes)
Asymmetric unit:
Li 0.0000 0.0000 0.0000
Tb 0.0000 0.0000 0.1293
Tb 0.0000 0.0000 0.3794
Cu 0.0000 0.0000 0.2563
Cu 0.0000 0.0000 0.5000

10.
# Ac3Mg2Al
Calculated X-ray diffraction stick pattern, Cu Ka. Input: a crystal structure in Alexandria, relaxed with PBE.
No peak broadening, texture or thermal motion is included.

Most intense lines, 2θ = 15–90°, in order of rising 2θ:
h k l	two_theta	intensity
0 0 3	21.7	37
1 0 0	22.0	74
1 0 3	31.1	100
1 1 0	31.3	51
1 1 3	38.4	35
2 0 0	44.9	19
1 0 6	49.8	15
2 0 3	50.4	17
2 1 0	50.5	17
1 1 6	55.1	18
2 1 3	55.6	40
2 0 6	64.8	13

Cell and atoms:
a = 4.0383 Å, b = 4.0383 Å, c = 12.3136 Å
α = 90.00°, β = 90.00°, γ = 90.00°
Space group P4/mmm (No. 123)
Asymmetric unit:
Ac 0.0000 0.0000 0.0000
Ac 0.0000 0.0000 0.3459
Mg 0.5000 0.5000 0.1691
Al 0.5000 0.5000 0.5000

11.
# VAg4Au2Se2
Calculated X-ray diffraction stick pattern, Cu Ka. Input: a crystal structure in Alexandria, relaxed with PBE.
No peak broadening, texture or thermal motion is included.

Most intense lines, 2θ = 15–90°, in order of rising 2θ:
h k l	two_theta	intensity
1 0 0	32.7	48
1 0 2	34.0	18
0 0 8	36.8	14
0 1 4	37.6	100
1 0 5	40.2	63
0 0 9	41.6	20
0 1 9	53.9	14
1 1 0	58.3	34
1 1 8	71.0	12
1 0 13	71.6	34
0 2 5	73.2	11
1 1 9	74.2	21

Cell and atoms:
a = 3.1636 Å, b = 3.1636 Å, c = 19.5475 Å
α = 90.00°, β = 90.00°, γ = 120.00°
Space group P3m1 (No. 156)
Asymmetric unit:
V 0.0000 0.0000 0.0000
Ag 0.0000 0.0000 0.2109
Ag 0.0000 0.0000 0.4394
Ag 0.6667 0.3333 0.5536
Ag 0.6667 0.3333 0.7823
Au 0.0000 0.0000 0.6691
Au 0.6667 0.3333 0.3241
Se 0.6667 0.3333 0.0833
Se 0.6667 0.3333 0.9176

12.
# AlIBr3
Calculated X-ray diffraction stick pattern, Cu Ka. Input: a crystal structure in Alexandria, relaxed with PBE.
No peak broadening, texture or thermal motion is included.

Most intense lines, 2θ = 15–90°, in order of rising 2θ:
h k l	two_theta	intensity
2 0 -2	15.8	38
2 1 -2	19.2	100
1 1 1	20.6	64
2 1 -1	20.7	62
1 2 0	24.5	45
2 1 0	24.7	64
3 0 -2	25.0	71
0 1 3	25.9	46
1 1 -4	27.2	80
1 2 1	28.1	54
2 2 -3	28.2	69
5 0 -4	40.9	38

Cell and atoms:
a = 11.2188 Å, b = 8.1596 Å, c = 15.8944 Å
α = 90.00°, β = 134.35°, γ = 90.00°
Space group P2_1/c (No. 14)
Asymmetric unit:
Al 0.0725 0.1752 0.4953
I 0.4385 0.0873 0.9036
Br 0.0449 0.7057 0.6755
Br 0.1369 0.6130 0.0005
Br 0.2950 0.1977 0.1648

13.
# Er5ThIr4
Calculated X-ray diffraction stick pattern, Cu Ka. Input: a crystal structure in Alexandria, relaxed with PBE.
No peak broadening, texture or thermal motion is included.

Most intense lines, 2θ = 15–90°, in order of rising 2θ:
h k l	two_theta	intensity
4 0 0	21.7	16
1 1 -1	24.3	12
3 1 -2	32.5	100
6 0 0	32.9	41
3 1 2	42.5	67
0 2 0	43.0	24
4 0 -4	48.7	20
6 2 0	55.1	22
4 2 -4	66.9	13
9 1 2	71.9	11
10 2 -4	76.6	15
3 3 2	78.4	11

Cell and atoms:
a = 17.9720 Å, b = 4.2106 Å, c = 7.4766 Å
α = 90.00°, β = 114.48°, γ = 90.00°
Space group C2/m (No. 12)
Asymmetric unit:
Er 0.0000 0.0000 0.0000
Er 0.1672 0.5000 0.4258
Er 0.1670 0.5000 0.9095
Th 0.0000 0.0000 0.5000
Ir 0.0002 0.5000 0.2386
Ir 0.1977 0.0000 0.6981